Diffraction record for BeO. The powder XRD pattern is simulated, not measured: it uses a structure optimized by DFT (GGA-PBE) and Cu Kα, 1.54184 Å.
Neutral-atom scattering factors, no anomalous dispersion.

Cell lengths 4.6419, 4.6419, 2.7010 Å; angles 90.00, 90.00, 90.00 degrees
Space group P4_2/mnm (No. 136)
Inequivalent atoms, fractional coordinates:
1 Be 0.1734 0.1734 0.0000 [4 per cell]
2 O 0.1886 0.8114 0.0000 [4 per cell]

Main lines, low angle first (2θ from 10° to 80°):
(1 1 0), 27.17°, d 3.282, I 18
(1 0 1), 38.56°, d 2.335, I 71
(2 0 0), 38.80°, d 2.321, I 100
(1 1 1), 43.39°, d 2.086, I 50
(2 1 0), 43.60°, d 2.076, I 21
(2 1 1), 55.86°, d 1.646, I 17
(2 2 0), 56.04°, d 1.641, I 12
(3 1 0), 63.36°, d 1.468, I 10
(0 0 2), 69.62°, d 1.350, I 13
(3 0 1), 70.09°, d 1.343, I 45